The following is a theoretical powder diffractogram of NbGaMoC. It was derived from a GGA-PBE-relaxed structure, using Cu Kα (λ = 1.5418 Å).
Lines closer than 0.1° are merged.

a b c (Å): 3.1347 3.1347 13.2843
angles (deg): 90.00 90.00 120.00
Space group P-6m2 (No. 187)
Asymmetric unit:
Nb 0.0000 0.0000 0.1634 [2 per cell]
Ga 0.0000 0.0000 0.5000 [1 per cell]
Ga 0.6667 0.3333 0.0000 [1 per cell]
Mo 0.6667 0.3333 0.3407 [2 per cell]
C 0.3333 0.6667 0.2569 [2 per cell]

Most intense lines, 2θ = 10–90°, low angle first:
| 2θ/deg | I (rel.) | index |
| --- | --- | --- |
| 13.33 | 3.2 | 0 0 2 |
| 33.00 | 22.5 | 1 0 0 |
| 38.91 | 100.0 | 1 0 3 |
| 40.75 | 17.6 | 0 0 6 |
| 53.40 | 14.3 | 1 0 6 |
| 58.93 | 20.4 | 1 1 0 |
| 69.21 | 2.6 | 2 0 0 |
| 72.92 | 29.0 | 2 0 3 |
| 74.12 | 17.5 | 1 1 6 |
| 83.55 | 3.8 | 2 0 6 |